# 1
Nd2Sb4Pt3Rh: calculated powder diffractogram (a wavelength of 1.5418 Å), based on a PBE-relaxed structure.

Crystal structure
Lattice parameters (Å, degrees): 4.594 4.594 10.785 90.00 90.00 90.00
Atoms (fractional coordinates):
Nd1 0.000 0.500 0.232
Nd2 0.500 0.000 0.768
Sb1 0.000 0.000 0.500
Sb2 0.000 0.500 0.873
Sb3 0.500 0.000 0.127
Sb4 0.500 0.500 0.500
Pt1 0.000 0.000 0.000
Pt2 0.000 0.500 0.632
Pt3 0.500 0.000 0.368
Rh1 0.500 0.500 0.000

The 10 most intense peaks (10° ≤ 2θ ≤ 90°), in order of rising 2θ:
index  2θ (°)  intensity
1 0 3  31.6  64
1 1 2  32.2  100
2 0 0  39.2  83
1 1 4  43.6  47
1 0 5  46.5  28
2 1 3  51.2  33
2 2 0  56.7  28
2 1 5  62.4  23
3 1 2  66.7  24
3 1 4  74.1  21

---

# 2
Co3Cu5: calculated powder diffractogram (a wavelength of 1.5418 Å), based on a PBE-relaxed structure.

Crystal structure
Lattice parameters (Å, degrees): 7.033 7.033 4.525 90.00 90.00 120.00
Atoms (fractional coordinates):
Co1 0.000 0.414 0.250
Co2 0.000 0.586 0.750
Co3 0.414 0.000 0.250
Co4 0.414 0.414 0.750
Co5 0.586 0.000 0.750
Co6 0.586 0.586 0.250
Cu1 0.000 0.218 0.750
Cu2 0.000 0.782 0.250
Cu3 0.218 0.000 0.750
Cu4 0.218 0.218 0.250
Cu5 0.333 0.667 0.000
Cu6 0.333 0.667 0.500
Cu7 0.667 0.333 0.000
Cu8 0.667 0.333 0.500
Cu9 0.782 0.000 0.250
Cu10 0.782 0.782 0.750

The 10 most intense peaks (10° ≤ 2θ ≤ 90°), in order of rising 2θ:
index  2θ (°)  intensity
2 1 0  39.1  41
0 0 2  39.8  13
1 0 2  42.6  15
2 1 1  44.1  100
3 0 0  44.6  17
1 1 2  47.8  44
2 0 2  50.2  10
2 2 1  56.1  11
4 1 0  70.9  10
2 1 3  75.3  18